Diffraction record for BaSrTbCeO6. The X-ray diffraction stick pattern is calculated, not measured: it uses the GGA-PBE geometry in the Materials Project and Cu Kα.

Structural model:
```
data_BaSrTbCeO6
_chemical_formula_sum 'Ba4 Sr4 Tb4 Ce4 O24'
_space_group_name_H-M_alt 'F -4 3 m'
_space_group_IT_number 216
_space_group_name_Hall 'F -4 2 3'
_cell_length_a 8.835
_cell_length_b 8.835
_cell_length_c 8.835
_cell_angle_alpha 90.00
_cell_angle_beta 90.00
_cell_angle_gamma 90.00
loop_
_atom_site_label
_atom_site_type_symbol
_atom_site_fract_x
_atom_site_fract_y
_atom_site_fract_z
Ba1 Ba 0.000 0.000 0.000
Sr1 Sr 0.000 0.000 0.500
Tb1 Tb 0.250 0.250 0.250
Ce1 Ce 0.250 0.250 0.750
O1 O 0.002 0.250 0.750
```

Largest 10 diffraction maxima, in order of rising 2θ, 5° ≤ 2θ ≤ 70°:
2θ = 17.38°, rel. 20, hkl 1 1 1; 2θ = 20.10°, rel. 65, hkl 2 0 0; 2θ = 28.58°, rel. 1000, hkl 2 2 0; 2θ = 33.64°, rel. 12, hkl 3 1 1; 2θ = 40.85°, rel. 307, hkl 4 0 0; 2θ = 45.94°, rel. 28, hkl 4 2 0; 2θ = 50.61°, rel. 418, hkl 4 2 2; 2θ = 59.15°, rel. 196, hkl 4 4 0; 2θ = 63.14°, rel. 12, hkl 6 0 0; 2θ = 66.99°, rel. 183, hkl 6 2 0

=====

Diffraction record for Ba2CeZrO6. The X-ray diffraction stick pattern is calculated, not measured: it uses the GGA-PBE geometry in the Materials Project and Cu Kα.

Structural model:
```
data_Ba2CeZrO6
_chemical_formula_sum 'Ba8 Ce4 Zr4 O24'
_space_group_name_H-M_alt 'F m -3 m'
_space_group_IT_number 225
_space_group_name_Hall '-F 4 2 3'
_cell_length_a 8.737
_cell_length_b 8.737
_cell_length_c 8.737
_cell_angle_alpha 90.00
_cell_angle_beta 90.00
_cell_angle_gamma 90.00
loop_
_atom_site_label
_atom_site_type_symbol
_atom_site_fract_x
_atom_site_fract_y
_atom_site_fract_z
Ba1 Ba 0.250 0.250 0.250
Ce1 Ce 0.000 0.000 0.000
Zr1 Zr 0.000 0.000 0.500
O1 O 0.000 0.000 0.257
```

Largest 9 diffraction maxima, in order of rising 2θ, 5° ≤ 2θ ≤ 70°:
2θ = 17.58°, rel. 16, hkl 1 1 1; 2θ = 28.90°, rel. 1000, hkl 2 2 0; 2θ = 34.03°, rel. 14, hkl 3 1 1; 2θ = 35.59°, rel. 30, hkl 2 2 2; 2θ = 41.33°, rel. 308, hkl 4 0 0; 2θ = 45.24°, rel. 8, hkl 3 3 1; 2θ = 51.22°, rel. 410, hkl 4 2 2; 2θ = 59.88°, rel. 194, hkl 4 4 0; 2θ = 67.84°, rel. 180, hkl 6 2 0

=====

Diffraction record for Ba5Ce4ZrO15. The X-ray diffraction stick pattern is calculated, not measured: it uses the GGA-PBE geometry in the Materials Project and Cu Kα.

Structural model:
```
data_Ba5Ce4ZrO15
_chemical_formula_sum 'Ba20 Ce16 Zr4 O60'
_space_group_name_H-M_alt 'C 1 2/m 1'
_space_group_IT_number 12
_space_group_name_Hall '-C 2y'
_cell_length_a 20.804
_cell_length_b 6.226
_cell_length_c 15.306
_cell_angle_alpha 90.00
_cell_angle_beta 119.95
_cell_angle_gamma 90.00
loop_
_atom_site_label
_atom_site_type_symbol
_atom_site_fract_x
_atom_site_fract_y
_atom_site_fract_z
Ba1 Ba 0.002 0.000 0.254
Ba2 Ba 0.101 0.500 0.651
Ba3 Ba 0.105 0.500 0.154
Ba4 Ba 0.198 0.000 0.055
Ba5 Ba 0.204 0.000 0.549
Ce1 Ce 0.000 0.000 0.000
Ce2 Ce 0.000 0.000 0.500
Ce3 Ce 0.100 0.500 0.899
Ce4 Ce 0.103 0.500 0.401
Ce5 Ce 0.201 0.000 0.798
Zr1 Zr 0.199 0.000 0.300
O1 O 0.017 0.500 0.236
O2 O 0.035 0.251 0.425
O3 O 0.067 0.248 0.975
O4 O 0.090 0.000 0.169
O5 O 0.116 0.000 0.634
O6 O 0.134 0.251 0.823
O7 O 0.167 0.243 0.370
O8 O 0.192 0.500 0.568
O9 O 0.215 0.500 0.036
O10 O 0.233 0.242 0.231
```

Largest 10 diffraction maxima, in order of rising 2θ, 5° ≤ 2θ ≤ 70°:
2θ = 28.44°, rel. 189, hkl 6 0 -4; 2θ = 28.65°, rel. 1000, hkl 5 1 0; 2θ = 40.83°, rel. 231, hkl 6 2 -4; 2θ = 41.07°, rel. 107, hkl 4 0 4; 2θ = 50.43°, rel. 89, hkl 11 1 -4; 2θ = 50.54°, rel. 90, hkl 7 1 -8; 2θ = 50.80°, rel. 297, hkl 4 2 4; 2θ = 59.37°, rel. 105, hkl 0 4 0; 2θ = 66.98°, rel. 77, hkl 7 3 -8; 2θ = 67.33°, rel. 71, hkl 3 1 8

=====

Diffraction record for Ba2CeZrO6. The X-ray diffraction stick pattern is calculated, not measured: it uses the GGA-PBE geometry in the Materials Project and Cu Kα.

Structural model:
```
data_Ba2CeZrO6
_chemical_formula_sum 'Ba2 Ce1 Zr1 O6'
_space_group_name_H-M_alt 'P 4/m m m'
_space_group_IT_number 123
_space_group_name_Hall '-P 4 2'
_cell_length_a 6.180
_cell_length_b 6.180
_cell_length_c 4.359
_cell_angle_alpha 90.00
_cell_angle_beta 90.00
_cell_angle_gamma 90.00
loop_
_atom_site_label
_atom_site_type_symbol
_atom_site_fract_x
_atom_site_fract_y
_atom_site_fract_z
Ba1 Ba 0.000 0.500 0.000
Ce1 Ce 0.000 0.000 0.500
Zr1 Zr 0.500 0.500 0.500
O1 O 0.000 0.000 0.000
O2 O 0.258 0.258 0.500
O3 O 0.500 0.500 0.000
```

Largest 10 diffraction maxima, in order of rising 2θ, 5° ≤ 2θ ≤ 70°:
2θ = 14.33°, rel. 13, hkl 1 0 0; 2θ = 25.00°, rel. 8, hkl 1 0 1; 2θ = 28.92°, rel. 1000, hkl 2 0 0; 2θ = 35.61°, rel. 30, hkl 2 0 1; 2θ = 41.32°, rel. 206, hkl 2 2 0; 2θ = 41.43°, rel. 102, hkl 0 0 2; 2θ = 51.25°, rel. 410, hkl 2 0 2; 2θ = 59.92°, rel. 194, hkl 4 0 0; 2θ = 67.82°, rel. 120, hkl 4 2 0; 2θ = 67.99°, rel. 59, hkl 1 1 3

=====

Diffraction record for Ba2CeZrO6. The X-ray diffraction stick pattern is calculated, not measured: it uses the GGA-PBE geometry in the Materials Project and Cu Kα.

Structural model:
```
data_Ba2CeZrO6
_chemical_formula_sum 'Ba2 Ce1 Zr1 O6'
_space_group_name_H-M_alt 'P 4/m m m'
_space_group_IT_number 123
_space_group_name_Hall '-P 4 2'
_cell_length_a 4.350
_cell_length_b 4.350
_cell_length_c 8.800
_cell_angle_alpha 90.00
_cell_angle_beta 90.00
_cell_angle_gamma 90.00
loop_
_atom_site_label
_atom_site_type_symbol
_atom_site_fract_x
_atom_site_fract_y
_atom_site_fract_z
Ba1 Ba 0.000 0.000 0.237
Ce1 Ce 0.500 0.500 0.500
Zr1 Zr 0.500 0.500 0.000
O1 O 0.000 0.500 0.000
O2 O 0.000 0.500 0.500
O3 O 0.500 0.500 0.238
```

Largest 10 diffraction maxima, in order of rising 2θ, 5° ≤ 2θ ≤ 70°:
2θ = 28.86°, rel. 1000, hkl 1 0 2; 2θ = 29.03°, rel. 499, hkl 1 1 0; 2θ = 41.02°, rel. 151, hkl 0 0 4; 2θ = 41.52°, rel. 308, hkl 2 0 0; 2θ = 51.04°, rel. 196, hkl 1 1 4; 2θ = 51.36°, rel. 406, hkl 2 1 2; 2θ = 59.79°, rel. 188, hkl 2 0 4; 2θ = 60.17°, rel. 97, hkl 2 2 0; 2θ = 67.38°, rel. 82, hkl 1 0 6; 2θ = 68.13°, rel. 178, hkl 3 1 0

=====

Diffraction record for Ba5Ce4ZrO15. The X-ray diffraction stick pattern is calculated, not measured: it uses the GGA-PBE geometry in the Materials Project and Cu Kα.

Structural model:
```
data_Ba5Ce4ZrO15
_chemical_formula_sum 'Ba10 Ce8 Zr2 O30'
_space_group_name_H-M_alt 'C m m m'
_space_group_IT_number 65
_space_group_name_Hall '-C 2 2'
_cell_length_a 6.275
_cell_length_b 31.412
_cell_length_c 4.430
_cell_angle_alpha 90.00
_cell_angle_beta 90.00
_cell_angle_gamma 90.00
loop_
_atom_site_label
_atom_site_type_symbol
_atom_site_fract_x
_atom_site_fract_y
_atom_site_fract_z
Ba1 Ba 0.000 0.000 0.000
Ba2 Ba 0.000 0.200 0.000
Ba3 Ba 0.000 0.405 0.000
Ce1 Ce 0.000 0.098 0.500
Ce2 Ce 0.000 0.301 0.500
Zr1 Zr 0.000 0.500 0.500
O1 O 0.000 0.097 0.000
O2 O 0.000 0.300 0.000
O3 O 0.000 0.500 0.000
O4 O 0.239 0.452 0.500
O5 O 0.247 0.149 0.500
O6 O 0.250 0.250 0.500
```

Largest 10 diffraction maxima, in order of rising 2θ, 5° ≤ 2θ ≤ 70°:
2θ = 20.01°, rel. 6, hkl 1 5 0; 2θ = 28.45°, rel. 1000, hkl 2 0 0; 2θ = 35.03°, rel. 16, hkl 2 0 1; 2θ = 40.67°, rel. 302, hkl 0 0 2; 2θ = 45.11°, rel. 6, hkl 1 13 1; 2θ = 50.38°, rel. 409, hkl 2 0 2; 2θ = 58.83°, rel. 63, hkl 4 0 0; 2θ = 58.90°, rel. 127, hkl 2 10 2; 2θ = 66.62°, rel. 116, hkl 4 10 0; 2θ = 66.75°, rel. 61, hkl 1 5 3

=====

Diffraction record for Ba5Ce4ZrO15. The X-ray diffraction stick pattern is calculated, not measured: it uses the GGA-PBE geometry in the Materials Project and Cu Kα.

Structural model:
```
data_Ba5Ce4ZrO15
_chemical_formula_sum 'Ba10 Ce8 Zr2 O30'
_space_group_name_H-M_alt 'P -1'
_space_group_IT_number 2
_space_group_name_Hall '-P 1'
_cell_length_a 6.225
_cell_length_b 6.231
_cell_length_c 25.630
_cell_angle_alpha 83.13
_cell_angle_beta 83.17
_cell_angle_gamma 60.45
loop_
_atom_site_label
_atom_site_type_symbol
_atom_site_fract_x
_atom_site_fract_y
_atom_site_fract_z
Ba1 Ba 0.044 0.057 0.349
Ba2 Ba 0.156 0.145 0.049
Ba3 Ba 0.243 0.255 0.752
Ba4 Ba 0.357 0.343 0.450
Ba5 Ba 0.445 0.457 0.148
Ce1 Ce 0.000 0.000 0.500
Ce2 Ce 0.101 0.101 0.197
Ce3 Ce 0.300 0.300 0.600
Ce4 Ce 0.400 0.401 0.299
Ce5 Ce 0.500 0.500 0.000
Zr1 Zr 0.200 0.199 0.901
O1 O 0.028 0.525 0.342
O2 O 0.037 0.515 0.846
O3 O 0.076 0.225 0.550
O4 O 0.119 0.993 0.853
O5 O 0.160 0.674 0.058
O6 O 0.175 0.674 0.558
O7 O 0.222 0.729 0.743
O8 O 0.225 0.731 0.241
O9 O 0.286 0.406 0.949
O10 O 0.319 0.178 0.249
O11 O 0.364 0.879 0.955
O12 O 0.375 0.874 0.458
O13 O 0.427 0.924 0.642
O14 O 0.445 0.922 0.141
O15 O 0.475 0.623 0.350
```

Largest 10 diffraction maxima, in order of rising 2θ, 5° ≤ 2θ ≤ 70°:
2θ = 28.47°, rel. 192, hkl 1 -1 0; 2θ = 28.67°, rel. 1000, hkl 2 1 1; 2θ = 40.86°, rel. 233, hkl 2 0 -6; 2θ = 41.12°, rel. 109, hkl 2 2 8; 2θ = 50.54°, rel. 179, hkl 3 0 1; 2θ = 50.73°, rel. 44, hkl 1 3 8; 2θ = 50.81°, rel. 206, hkl 3 1 8; 2θ = 50.91°, rel. 89, hkl 3 3 2; 2θ = 59.37°, rel. 174, hkl 2 2 -12; 2θ = 67.05°, rel. 77, hkl 4 1 -5

=====

Diffraction record for Ba2CeZrO6. The X-ray diffraction stick pattern is calculated, not measured: it uses the GGA-PBE geometry in the Materials Project and Cu Kα.

Structural model:
```
data_Ba2CeZrO6
_chemical_formula_sum 'Ba8 Ce4 Zr4 O24'
_space_group_name_H-M_alt 'P n -3'
_space_group_IT_number 201
_cell_length_a 8.715
_cell_length_b 8.715
_cell_length_c 8.715
_cell_angle_alpha 90.00
_cell_angle_beta 90.00
_cell_angle_gamma 90.00
loop_
_space_group_symop_operation_xyz
'x,y,z'
'-x,-y,-z'
'-x+1/2,-y+1/2,z'
'x+1/2,y+1/2,-z'
'x,-y+1/2,-z+1/2'
'-x,y+1/2,z+1/2'
'-x+1/2,y,-z+1/2'
'x+1/2,-y,z+1/2'
'z,x,y'
'-z,-x,-y'
'z,-x+1/2,-y+1/2'
'-z,x+1/2,y+1/2'
'-z+1/2,x,-y+1/2'
'z+1/2,-x,y+1/2'
'-z+1/2,-x+1/2,y'
'z+1/2,x+1/2,-y'
'y,z,x'
'-y,-z,-x'
'-y+1/2,z,-x+1/2'
'y+1/2,-z,x+1/2'
'-y+1/2,-z+1/2,x'
'y+1/2,z+1/2,-x'
'y,-z+1/2,-x+1/2'
'-y,z+1/2,x+1/2'
loop_
_atom_site_label
_atom_site_type_symbol
_atom_site_fract_x
_atom_site_fract_y
_atom_site_fract_z
Ba1 Ba 0.250 0.250 0.250
Ba2 Ba 0.250 0.250 0.750
Ce1 Ce 0.000 0.000 0.000
Zr1 Zr 0.000 0.000 0.500
O1 O 0.020 0.522 0.757
```

Largest 9 diffraction maxima, in order of rising 2θ, 5° ≤ 2θ ≤ 70°:
2θ = 17.63°, rel. 16, hkl 1 1 1; 2θ = 28.98°, rel. 1000, hkl 2 2 0; 2θ = 34.12°, rel. 14, hkl 3 1 1; 2θ = 35.69°, rel. 27, hkl 2 2 2; 2θ = 41.45°, rel. 299, hkl 4 0 0; 2θ = 45.36°, rel. 8, hkl 3 3 1; 2θ = 51.36°, rel. 422, hkl 4 2 2; 2θ = 60.06°, rel. 185, hkl 4 4 0; 2θ = 68.04°, rel. 180, hkl 6 2 0

=====

Diffraction record for BaCe2ZnS5. The X-ray diffraction stick pattern is calculated, not measured: it uses the GGA-PBE geometry in the Materials Project and Cu Kα.

Structural model:
```
data_BaCe2ZnS5
_chemical_formula_sum 'Ba4 Ce8 Zn4 S20'
_space_group_name_H-M_alt 'I 4/m c m'
_space_group_IT_number 140
_space_group_name_Hall '-I 4 2c'
_cell_length_a 7.871
_cell_length_b 7.871
_cell_length_c 13.739
_cell_angle_alpha 90.00
_cell_angle_beta 90.00
_cell_angle_gamma 90.00
loop_
_atom_site_label
_atom_site_type_symbol
_atom_site_fract_x
_atom_site_fract_y
_atom_site_fract_z
Ba1 Ba 0.000 0.000 0.250
Ce1 Ce 0.159 0.341 0.000
Zn1 Zn 0.000 0.500 0.250
S1 S 0.000 0.000 0.000
S2 S 0.150 0.350 0.366
```

Largest 10 diffraction maxima, in order of rising 2θ, 5° ≤ 2θ ≤ 70°:
2θ = 25.94°, rel. 285, hkl 0 0 4; 2θ = 26.11°, rel. 915, hkl 2 0 2; 2θ = 32.09°, rel. 1000, hkl 2 2 0; 2θ = 36.08°, rel. 327, hkl 3 1 0; 2θ = 41.72°, rel. 461, hkl 2 2 4; 2θ = 45.85°, rel. 150, hkl 2 0 6; 2θ = 48.10°, rel. 225, hkl 4 0 2; 2θ = 51.92°, rel. 252, hkl 4 2 0; 2θ = 58.94°, rel. 189, hkl 4 2 4; 2θ = 67.25°, rel. 169, hkl 4 4 0

=====

Diffraction record for BaCl2. The X-ray diffraction stick pattern is calculated, not measured: it uses the GGA-PBE geometry in the Materials Project and Cu Kα.

Structural model:
```
data_BaCl2
_chemical_formula_sum 'Ba3 Cl6'
_space_group_name_H-M_alt 'P -6 2 m'
_space_group_IT_number 189
_space_group_name_Hall 'P -6 -2'
_cell_length_a 8.1827
_cell_length_b 8.1827
_cell_length_c 4.7164
_cell_angle_alpha 90.00
_cell_angle_beta 90.00
_cell_angle_gamma 120.00
loop_
_atom_site_label
_atom_site_type_symbol
_atom_site_fract_x
_atom_site_fract_y
_atom_site_fract_z
Ba1 Ba 0.0000 0.0000 0.0000
Ba2 Ba 0.3333 0.6667 0.5000
Cl1 Cl 0.0000 0.4069 0.0000
Cl2 Cl 0.0000 0.7426 0.5000
```

Largest 10 diffraction maxima, in order of rising 2θ, 5° ≤ 2θ ≤ 70°:
2θ = 21.72°, rel. 894, hkl 1 1 0; 2θ = 22.65°, rel. 721, hkl 1 0 1; 2θ = 28.89°, rel. 403, hkl 1 1 1; 2θ = 31.58°, rel. 1000, hkl 2 0 1; 2θ = 38.12°, rel. 811, hkl 0 0 2; 2θ = 38.66°, rel. 710, hkl 2 1 1; 2θ = 44.31°, rel. 483, hkl 2 2 0; 2θ = 55.02°, rel. 356, hkl 3 0 2; 2θ = 59.83°, rel. 352, hkl 4 1 0; 2θ = 60.22°, rel. 349, hkl 3 2 1